(1)
For K2LiTaF6, a structure optimized by DFT (GGA-PBE) gives the computed powder diffractogram in this record (λ = 1.5418 Å (Cu Kα)).
Lines closer than 0.1° are merged.

Peak list (12 most intense, 10 to 90 degrees two-theta, sorted by position)
| h k l | d/Å | Rel. int. |
| --- | --- | --- |
| 0 1 1 | 4.990 | 909 |
| 1 0 1 | 4.681 | 1000 |
| 1 1 0 | 4.194 | 439 |
| 0 0 2 | 4.155 | 218 |
| 0 2 0 | 3.120 | 279 |
| 1 1 2 | 2.952 | 944 |
| 2 0 0 | 2.832 | 218 |
| 1 2 1 | 2.596 | 359 |
| 2 1 1 | 2.463 | 368 |
| 2 2 0 | 2.097 | 493 |
| 0 0 4 | 2.078 | 244 |
| 2 2 4 | 1.476 | 286 |

Structural model:
```
data_K2LiTaF6
_chemical_formula_sum 'K4 Li2 Ta2 F12'
_cell_length_a 5.6645
_cell_length_b 6.2405
_cell_length_c 8.3107
_cell_angle_alpha 90.00
_cell_angle_beta 90.00
_cell_angle_gamma 90.00
_space_group_name_H-M_alt 'I m m m'
_space_group_IT_number 71
_space_group_name_Hall '-I 2 2'
loop_
_atom_site_label
_atom_site_fract_x
_atom_site_fract_y
_atom_site_fract_z
K1 0.0000 0.0000 0.2479
Li1 0.0000 0.5000 0.5000
Ta1 0.0000 0.5000 0.0000
F1 0.0000 0.5000 0.2490
F2 0.2299 0.2353 0.0000
```

(2)
For K2LiTlF6, a structure optimized by DFT (GGA-PBE) gives the computed powder diffractogram in this record (λ = 1.5418 Å (Cu Kα)).
Lines closer than 0.1° are merged.

Peak list (12 most intense, 10 to 90 degrees two-theta, sorted by position)
| h k l | d/Å | Rel. int. |
| --- | --- | --- |
| 1 1 1 | 4.925 | 1000 |
| 2 0 0 | 4.265 | 395 |
| 2 2 0 | 3.016 | 784 |
| 3 1 1 | 2.572 | 644 |
| 4 0 0 | 2.132 | 385 |
| 3 3 1 | 1.957 | 312 |
| 4 2 0 | 1.907 | 191 |
| 4 2 2 | 1.741 | 318 |
| 3 3 3 | 1.642 | 214 |
| 4 4 0 | 1.508 | 231 |
| 5 3 1 | 1.442 | 209 |
| 6 4 2 | 1.140 | 168 |

Structural model:
```
data_K2LiTlF6
_chemical_formula_sum 'K8 Li4 Tl4 F24'
_cell_length_a 8.5295
_cell_length_b 8.5295
_cell_length_c 8.5295
_cell_angle_alpha 90.00
_cell_angle_beta 90.00
_cell_angle_gamma 90.00
_space_group_name_H-M_alt 'F m -3 m'
_space_group_IT_number 225
_space_group_name_Hall '-F 4 2 3'
loop_
_atom_site_label
_atom_site_fract_x
_atom_site_fract_y
_atom_site_fract_z
K1 0.2500 0.2500 0.2500
Li1 0.0000 0.0000 0.0000
Tl1 0.0000 0.0000 0.5000
F1 0.0000 0.0000 0.2433
```

(3)
For KLiTmF5, a structure optimized by DFT (GGA-PBE) gives the computed powder diffractogram in this record (λ = 1.5418 Å (Cu Kα)).
Lines closer than 0.1° are merged.

Peak list (12 most intense, 10 to 90 degrees two-theta, sorted by position)
| h k l | d/Å | Rel. int. |
| --- | --- | --- |
| 0 2 0 | 5.925 | 1000 |
| 0 1 1 | 5.167 | 135 |
| 1 1 -1 | 4.871 | 358 |
| 1 1 1 | 3.329 | 585 |
| 0 3 1 | 3.255 | 142 |
| 1 3 -1 | 3.177 | 231 |
| 1 0 -2 | 3.131 | 213 |
| 2 1 -1 | 3.096 | 354 |
| 0 4 0 | 2.964 | 139 |
| 1 2 -2 | 2.768 | 161 |
| 1 5 -1 | 2.167 | 136 |
| 0 1 3 | 1.889 | 140 |

Structural model:
```
data_KLiTmF5
_chemical_formula_sum 'K4 Li4 Tm4 F20'
_cell_length_a 6.4594
_cell_length_b 11.8545
_cell_length_c 6.2855
_cell_angle_alpha 90.00
_cell_angle_beta 114.02
_cell_angle_gamma 90.00
_space_group_name_H-M_alt 'P 1 21/c 1'
_space_group_IT_number 14
loop_
_space_group_symop_operation_xyz
'x,y,z'
'-x,-y,-z'
'-x,y+1/2,-z+1/2'
'x,-y+1/2,z+1/2'
loop_
_atom_site_label
_atom_site_fract_x
_atom_site_fract_y
_atom_site_fract_z
K1 0.0595 0.1500 0.0432
Li1 0.4363 0.7467 0.5361
Tm1 0.3179 0.5019 0.1799
F1 0.0449 0.5098 0.8294
F2 0.2733 0.6916 0.2193
F3 0.2938 0.1721 0.7763
F4 0.3359 0.5290 0.5467
F5 0.4648 0.1029 0.4642
```

(4)
For K2LiYF6, a structure optimized by DFT (GGA-PBE) gives the computed powder diffractogram in this record (λ = 1.5418 Å (Cu Kα)).
Lines closer than 0.1° are merged.

Peak list (12 most intense, 10 to 90 degrees two-theta, sorted by position)
| h k l | d/Å | Rel. int. |
| --- | --- | --- |
| 1 1 1 | 4.941 | 806 |
| 2 0 0 | 4.279 | 187 |
| 2 2 0 | 3.025 | 1000 |
| 3 1 1 | 2.580 | 507 |
| 2 2 2 | 2.470 | 211 |
| 4 0 0 | 2.139 | 806 |
| 3 3 1 | 1.963 | 245 |
| 4 2 2 | 1.747 | 379 |
| 3 3 3 | 1.647 | 151 |
| 4 4 0 | 1.513 | 453 |
| 6 2 0 | 1.353 | 163 |
| 6 4 2 | 1.144 | 190 |

Structural model:
```
data_K2LiYF6
_chemical_formula_sum 'K8 Li4 Y4 F24'
_cell_length_a 8.5574
_cell_length_b 8.5574
_cell_length_c 8.5574
_cell_angle_alpha 90.00
_cell_angle_beta 90.00
_cell_angle_gamma 90.00
_space_group_name_H-M_alt 'F m -3 m'
_space_group_IT_number 225
_space_group_name_Hall '-F 4 2 3'
loop_
_atom_site_label
_atom_site_fract_x
_atom_site_fract_y
_atom_site_fract_z
K1 0.2500 0.2500 0.2500
Li1 0.0000 0.0000 0.0000
Y1 0.0000 0.0000 0.5000
F1 0.0000 0.0000 0.2452
```

(5)
For KLu3F10, a structure optimized by DFT (GGA-PBE) gives the computed powder diffractogram in this record (λ = 1.5418 Å (Cu Kα)).
Lines closer than 0.1° are merged.

Peak list (12 most intense, 10 to 90 degrees two-theta, sorted by position)
| h k l | d/Å | Rel. int. |
| --- | --- | --- |
| 2 0 0 | 5.695 | 213 |
| 2 2 0 | 4.027 | 218 |
| 2 2 2 | 3.288 | 1000 |
| 4 0 0 | 2.847 | 417 |
| 4 4 0 | 2.013 | 473 |
| 6 0 0 | 1.898 | 92 |
| 6 2 2 | 1.717 | 546 |
| 4 4 4 | 1.644 | 129 |
| 6 6 2 | 1.306 | 191 |
| 8 4 0 | 1.273 | 137 |
| 8 4 4 | 1.162 | 164 |
| 10 2 2 | 1.096 | 131 |

Structural model:
```
data_KLu3F10
_chemical_formula_sum 'K8 Lu24 F80'
_cell_length_a 11.3890
_cell_length_b 11.3890
_cell_length_c 11.3890
_cell_angle_alpha 90.00
_cell_angle_beta 90.00
_cell_angle_gamma 90.00
_space_group_name_H-M_alt 'F m -3 m'
_space_group_IT_number 225
_space_group_name_Hall '-F 4 2 3'
loop_
_atom_site_label
_atom_site_fract_x
_atom_site_fract_y
_atom_site_fract_z
K1 0.2500 0.2500 0.2500
Lu1 0.0000 0.0000 0.2408
F1 0.0000 0.1648 0.3352
F2 0.1119 0.1119 0.1119
```

(6)
For K3LuF6, a structure optimized by DFT (GGA-PBE) gives the computed powder diffractogram in this record (λ = 1.5418 Å (Cu Kα)).
Lines closer than 0.1° are merged.

Peak list (12 most intense, 10 to 90 degrees two-theta, sorted by position)
| h k l | d/Å | Rel. int. |
| --- | --- | --- |
| 0 1 1 | 5.321 | 871 |
| 1 0 -2 | 5.203 | 779 |
| 1 1 -1 | 4.557 | 1000 |
| 0 2 0 | 3.280 | 375 |
| 1 1 1 | 3.227 | 772 |
| 1 1 -3 | 3.214 | 749 |
| 2 0 -2 | 3.172 | 332 |
| 1 2 0 | 2.776 | 239 |
| 1 0 -4 | 2.729 | 357 |
| 0 0 4 | 2.278 | 706 |
| 1 3 1 | 1.882 | 305 |
| 2 0 -6 | 1.844 | 358 |

Structural model:
```
data_K3LuF6
_chemical_formula_sum 'K6 Lu2 F12'
_cell_length_a 6.3438
_cell_length_b 6.5603
_cell_length_c 11.0632
_cell_angle_alpha 90.00
_cell_angle_beta 124.67
_cell_angle_gamma 90.00
_space_group_name_H-M_alt 'P 1 21/c 1'
_space_group_IT_number 14
loop_
_space_group_symop_operation_xyz
'x,y,z'
'-x,-y,-z'
'-x,y+1/2,-z+1/2'
'x,-y+1/2,z+1/2'
loop_
_atom_site_label
_atom_site_fract_x
_atom_site_fract_y
_atom_site_fract_z
K1 0.0000 0.0000 0.0000
K2 0.2354 0.0496 0.7474
Lu1 0.5000 0.0000 0.5000
F1 0.1800 0.1743 0.4543
F2 0.2701 0.7312 0.4372
F3 0.3825 0.0477 0.2795
```